Li4V3NiO8: computed powder diffractogram (Cu Ka), based on the GGA+U geometry in the Materials Project.

Structure:
abc: 5.928 5.939 5.958
angles: 119.62 90.68 119.35
Space group P-1 (No. 2)
One atom of each set of equivalent atoms:
Li  0.000  0.000  0.000
Li  0.000  0.500  0.000
Li  0.500  0.000  0.000
Li  0.500  0.500  0.000
V  0.000  0.000  0.500
V  0.000  0.500  0.500
V  0.500  0.000  0.500
Ni  0.500  0.500  0.500
O  0.215  0.473  0.265
O  0.219  0.974  0.274
O  0.281  0.544  0.727
O  0.289  0.017  0.727

The 10 most intense peaks (2θ from 5° to 70°), low angle first:
18.18 deg, rel. 100.0, hkl 0 0 1
35.17 deg, rel. 26.2, hkl 0 2 -1
35.66 deg, rel. 13.1, hkl 2 -2 1
36.90 deg, rel. 14.4, hkl 0 2 -2
42.65 deg, rel. 27.6, hkl 0 2 0
42.79 deg, rel. 24.2, hkl 2 0 -2
43.33 deg, rel. 26.9, hkl 2 -2 2
46.96 deg, rel. 13.4, hkl 2 0 1
56.55 deg, rel. 8.9, hkl 2 0 -3
62.30 deg, rel. 13.8, hkl 2 0 2